[1]
The following is a calculated powder diffractogram of Li2SnH6O6. It was derived from a GGA-PBE-relaxed structure, using Cu Kα, 1.54184 Å.

Atomic structure:
```
data_Li2SnH6O6
_chemical_formula_sum 'Li4 Sn2 H12 O12'
_cell_length_a 5.231
_cell_length_b 5.633
_cell_length_c 10.089
_cell_angle_alpha 90.00
_cell_angle_beta 114.10
_cell_angle_gamma 90.00
_symmetry_space_group_name_H-M 'P 1 21/c 1'
_symmetry_Int_Tables_number 14
_symmetry_space_group_name_Hall '-P 2ybc'
loop_
_atom_site_label
_atom_site_fract_x
_atom_site_fract_y
_atom_site_fract_z
Li1 0.064 0.230 0.158
Sn1 0.500 0.000 0.000
H1 0.003 0.178 0.879
H2 0.333 0.579 0.063
H3 0.442 0.747 0.269
O1 0.114 0.094 0.834
O2 0.256 0.742 0.049
O3 0.414 0.246 0.131
```

Most intense lines, 2θ from 15° to 90°, by angle:
two_theta  I/Imax  index
18.5  100  0 1 1
18.6  38  1 0 0
19.3  39  0 0 2
20.6  26  1 0 -2
23.3  50  1 1 -1
31.7  34  1 1 -3
32.0  18  1 0 2
38.2  28  1 2 -2

***

[2]
The following is a calculated powder diffractogram of Li3TeHO4. It was derived from a GGA-PBE-relaxed structure, using Cu Kα, 1.54184 Å.

Atomic structure:
```
data_Li3TeHO4
_chemical_formula_sum 'Li6 Te2 H2 O8'
_cell_length_a 5.527
_cell_length_b 6.417
_cell_length_c 6.866
_cell_angle_alpha 90.00
_cell_angle_beta 113.26
_cell_angle_gamma 90.00
_symmetry_space_group_name_H-M 'P 1 21/m 1'
_symmetry_Int_Tables_number 11
_symmetry_space_group_name_Hall '-P 2yb'
loop_
_atom_site_label
_atom_site_fract_x
_atom_site_fract_y
_atom_site_fract_z
Li1 0.218 0.250 0.149
Li2 0.248 0.515 0.848
Te1 0.325 0.750 0.314
H1 0.016 0.250 0.438
O1 0.027 0.750 0.714
O2 0.048 0.250 0.822
O3 0.406 0.525 0.172
```

Most intense lines, 2θ from 15° to 90°, by angle:
two_theta  I/Imax  index
17.6  73  1 0 -1
19.7  100  0 1 1
22.3  69  1 1 0
27.8  26  0 2 0
28.3  30  0 0 2
30.0  32  1 1 1
30.2  50  1 1 -2
33.1  36  1 2 -1

***

[3]
The following is a calculated powder diffractogram of Li4H6Os. It was derived from a GGA-PBE-relaxed structure, using Cu Kα, 1.54184 Å.

Atomic structure:
```
data_Li4H6Os
_chemical_formula_sum 'Li24 H36 Os6'
_cell_length_a 8.2764
_cell_length_b 8.2764
_cell_length_c 10.1958
_cell_angle_alpha 90.00
_cell_angle_beta 90.00
_cell_angle_gamma 120.00
_symmetry_space_group_name_H-M 'R -3 c'
_symmetry_Int_Tables_number 167
_symmetry_space_group_name_Hall '-R 3 2"c'
loop_
_atom_site_label
_atom_site_fract_x
_atom_site_fract_y
_atom_site_fract_z
Li1 0.0000 0.0000 0.2500
Li2 0.0000 0.4083 0.2500
H1 0.0490 0.1894 0.4016
Os1 0.0000 0.0000 0.0000
```

Most intense lines, 2θ from 15° to 90°, by angle:
two_theta  I/Imax  index
21.4  100  1 1 0
30.5  18  2 0 2
37.4  12  1 0 4
37.6  35  3 0 0
43.6  9  0 2 4
49.1  12  2 1 4
49.2  12  3 1 2
59.0  12  4 1 0

***

[4]
The following is a calculated powder diffractogram of LiPH2. It was derived from a GGA-PBE-relaxed structure, using Cu Kα, 1.54184 Å.

Atomic structure:
```
data_LiPH2
_chemical_formula_sum 'Li1 P1 H2'
_cell_length_a 3.622
_cell_length_b 3.622
_cell_length_c 2.939
_cell_angle_alpha 90.00
_cell_angle_beta 90.00
_cell_angle_gamma 90.00
_symmetry_space_group_name_H-M 'P 4/m m m'
_symmetry_Int_Tables_number 123
_symmetry_space_group_name_Hall '-P 4 2'
loop_
_atom_site_label
_atom_site_fract_x
_atom_site_fract_y
_atom_site_fract_z
Li1 0.000 0.000 0.000
P1 0.500 0.500 0.500
H1 0.000 0.500 0.500
```

Most intense lines, 2θ from 15° to 90°, by angle:
two_theta  I/Imax  index
24.6  100  1 0 0
30.4  34  0 0 1
35.0  59  1 1 0
39.5  97  1 0 1
47.1  23  1 1 1
50.4  25  2 0 0
56.8  15  2 1 0
65.8  40  2 1 1